Simulated X-ray diffraction stick pattern
Compound: AlAuSO
Radiation: CuKα
Structure: a crystal structure in OQMD, relaxed with GGA-PBE
Neutral-atom scattering factors, no anomalous dispersion.

Most intense lines, 10 to 90 degrees two-theta, in order of rising 2θ:
2θ/deg	d (Å)	I (rel.)
12.9	6.880	100.0
25.9	3.440	39.8
26.6	3.349	22.2
29.7	3.011	50.1
32.6	2.749	17.6
34.9	2.571	15.9
35.4	2.536	15.8
37.5	2.400	44.8
42.5	2.126	15.1
48.1	1.892	15.1

Cell and atoms:
Lattice parameters (Å, degrees): 7.3596 6.6982 5.4998 90.00 110.81 90.00
Element x y z (fractional)
Al  0.9995  0.0961  0.2265
Al  0.9995  0.4039  0.7265
Al  0.0005  0.5961  0.2735
Al  0.0005  0.9039  0.7735
Au  0.4991  0.2471  0.7909
Au  0.4991  0.2529  0.2909
Au  0.5009  0.7471  0.7091
Au  0.5009  0.7529  0.2091
S  0.2624  0.5022  0.1268
S  0.2624  0.9978  0.6268
S  0.7376  0.0022  0.3732
S  0.7376  0.4978  0.8732
O  0.0012  0.1656  0.9046
O  0.0012  0.3344  0.4046
O  0.9988  0.6656  0.5954
O  0.9988  0.8344  0.0954